Theoretical PXRD pattern
Compound: TiO2
Radiation: Cu Kα
Structure: a DFT-relaxed cell (PBE, the Materials Project)

Structural model:
abc: 8.438 8.438 8.438
angles: 90.00 90.00 90.00
Space group Fd-3m (No. 227, origin choice 2)
One atom of each set of equivalent atoms:
Ti (0.000, 0.000, 0.000) [16 per cell]
O (0.016, 0.016, 0.234) [32 per cell]

Peak list (10 most intense, 10° ≤ 2θ ≤ 90°, in order of falling intensity)
(1 1 1), 18.21 deg, I 100
(4 0 0), 42.87 deg, I 51
(3 1 1), 35.28 deg, I 30
(4 4 0), 62.24 deg, I 26
(5 1 1), 56.68 deg, I 16
(5 3 1), 65.43 deg, I 13
(4 4 4), 78.54 deg, I 7
(3 3 1), 46.93 deg, I 7
(5 5 1), 81.45 deg, I 7
(2 2 2), 36.90 deg, I 5